The following is a calculated powder XRD pattern of VGeIrO6. It was derived from DFT lattice parameters and positions (PBE+U), using a wavelength of 1.5418 Å.
Peak positions follow from Bragg's law for the DFT cell and can differ from measured ones.

Main lines, sorted by position (10° ≤ 2θ ≤ 90°):
index	d [Å]	Rel. int.
0 2 0	4.327	14.1
1 1 0	4.305	26.7
1 1 -2	3.040	100.0
1 1 2	3.027	49.9
1 3 0	2.494	32.4
2 0 0	2.481	16.0
2 2 2	1.918	20.6
1 3 -4	1.624	25.7
1 3 4	1.621	14.6
2 4 -2	1.526	19.4

Atomic structure:
```
data_VGeIrO6
_space_group_name_H-M_alt 'C 1 2/c 1'
_space_group_IT_number 15
_cell_length_a 4.9621
_cell_length_b 8.6542
_cell_length_c 8.5467
_cell_angle_alpha 90.00
_cell_angle_beta 90.26
_cell_angle_gamma 90.00
loop_
_space_group_symop_operation_xyz
'x,y,z'
'-x,-y,-z'
'-x,y,-z+1/2'
'x,-y,z+1/2'
'x+1/2,y+1/2,z'
'-x+1/2,-y+1/2,-z'
'-x+1/2,y+1/2,-z+1/2'
'x+1/2,-y+1/2,z+1/2'
loop_
_atom_site_label
_atom_site_type_symbol
_atom_site_fract_x
_atom_site_fract_y
_atom_site_fract_z
V1 V 0.0000 0.1643 0.2500
Ge1 Ge 0.0000 0.1666 0.7500
Ir1 Ir 0.0000 0.5000 0.0000
O1 O 0.1570 0.0029 0.6313
O2 O 0.1698 0.3280 0.6298
O3 O 0.1734 0.3311 0.1290
```